No. 1
Simulated X-ray diffraction stick pattern of Pm2ZnReO8 for Cu Kα (λ = 1.5418 Å), from a PBE-relaxed structure.
Kinematic intensities with the Lorentz-polarization factor, no thermal factor.

Structural model:
```
data_Pm2ZnReO8
_chemical_formula_sum 'Pm2 Zn1 Re1 O8'
_cell_length_a 4.725
_cell_length_b 4.784
_cell_length_c 7.525
_cell_angle_alpha 92.74
_cell_angle_beta 92.25
_cell_angle_gamma 95.70
_symmetry_space_group_name_H-M 'P -1'
_symmetry_Int_Tables_number 2
loop_
_symmetry_equiv_pos_as_xyz
'x,y,z'
'-x,-y,-z'
loop_
_atom_site_label
_atom_site_type_symbol
_atom_site_fract_x
_atom_site_fract_y
_atom_site_fract_z
_atom_site_occupancy
Pm1 Pm 0.058 0.051 0.246 1
Zn1 Zn 0.500 0.500 0.000 1
Re1 Re 0.500 0.500 0.500 1
O1 O 0.210 0.219 0.545 1
O2 O 0.217 0.215 0.977 1
O3 O 0.261 0.622 0.315 1
O4 O 0.375 0.747 0.680 1
```

Principal peaks in the range 5 to 70 degrees two-theta, in order of rising 2θ:
2θ/deg  I (rel.)  hkl
25.27  100  1 -1 0
28.03  53  1 1 0
29.54  51  0 1 -2
29.80  48  1 0 -2
31.13  92  0 1 2
48.35  36  -1 2 2

=====

No. 2
Simulated X-ray diffraction stick pattern of PmRh2O4 for Cu Kα (λ = 1.5418 Å), from a PBE-relaxed structure.
Kinematic intensities with the Lorentz-polarization factor, no thermal factor.

Structural model:
```
data_PmRh2O4
_chemical_formula_sum 'Pm4 Rh8 O16'
_cell_length_a 6.679
_cell_length_b 10.314
_cell_length_c 5.714
_cell_angle_alpha 90.00
_cell_angle_beta 117.89
_cell_angle_gamma 90.00
_symmetry_space_group_name_H-M 'C 1 2/c 1'
_symmetry_Int_Tables_number 15
loop_
_symmetry_equiv_pos_as_xyz
'x,y,z'
'-x,-y,-z'
'-x,y,-z+1/2'
'x,-y,z+1/2'
'x+1/2,y+1/2,z'
'-x+1/2,-y+1/2,-z'
'-x+1/2,y+1/2,-z+1/2'
'x+1/2,-y+1/2,z+1/2'
loop_
_atom_site_label
_atom_site_type_symbol
_atom_site_fract_x
_atom_site_fract_y
_atom_site_fract_z
_atom_site_occupancy
Pm1 Pm 0.000 0.120 0.250 1
Rh1 Rh 0.000 0.500 0.000 1
Rh2 Rh 0.250 0.250 0.000 1
O1 O 0.083 0.297 0.583 1
O2 O 0.198 0.056 0.984 1
```

Principal peaks in the range 5 to 70 degrees two-theta, in order of rising 2θ:
2θ/deg  I (rel.)  hkl
24.67  100  0 2 1
29.45  96  1 1 1
30.08  75  1 3 0
31.13  83  1 3 -1
32.55  98  1 1 -2
50.60  80  0 4 2